Diffraction record for Tm2SiO6. The powder diffractogram is simulated, not measured: it uses a PBE-relaxed structure and a wavelength of 1.5418 Å.
Peak positions follow from Bragg's law for the DFT cell and can differ from measured ones.

Peak list (10 most intense, 10° ≤ 2θ ≤ 90°, low angle first)
20.7 deg, d = 4.298 Å, I 31; 26.2 deg, d = 3.399 Å, I 100; 32.3 deg, d = 2.774 Å, I 19; 33.6 deg, d = 2.663 Å, I 83; 37.4 deg, d = 2.403 Å, I 26; 51.2 deg, d = 1.784 Å, I 72; 54.0 deg, d = 1.699 Å, I 19; 64.3 deg, d = 1.448 Å, I 20; 65.1 deg, d = 1.433 Å, I 25; 89.5 deg, d = 1.095 Å, I 16

Cell and atoms:
```
Tm2SiO6
1.0
4.8072 0.0000 0.0000
0.0000 4.8072 0.0000
0.0000 0.0000 9.5985
Tm Si O
4 2 12
Direct
0.0000 0.0000 0.1704 Tm
0.0000 0.0000 0.8296 Tm
0.5000 0.5000 0.3296 Tm
0.5000 0.5000 0.6704 Tm
0.0000 0.0000 0.5000 Si
0.5000 0.5000 0.0000 Si
0.1808 0.1808 0.3630 O
0.1808 0.1808 0.6370 O
0.2378 0.2378 0.0000 O
0.2622 0.7378 0.5000 O
0.3192 0.6808 0.1370 O
0.3192 0.6808 0.8630 O
0.6808 0.3192 0.1370 O
0.6808 0.3192 0.8630 O
0.7378 0.2622 0.5000 O
0.7622 0.7622 0.0000 O
0.8192 0.8192 0.3630 O
0.8192 0.8192 0.6370 O
```